1.
For MgZn2Cu2, a DFT-relaxed cell (PBE, Alexandria) gives the calculated X-ray diffraction stick pattern in this record (Cu Kα X-rays).
Kinematic intensities with the Lorentz-polarization factor, no thermal factor.

Largest 10 diffraction maxima, sorted by position, 2θ from 5° to 70°:
two_theta	Rel. int.
14.66	35
21.86	22
32.89	35
39.23	41
41.28	97
41.84	60
42.89	100
49.17	53
54.22	16
58.70	24

Structural model:
```
MgZn2Cu2
1.0
2.7952 0.0000 0.0000
0.0000 4.3180 0.0000
0.0000 0.0000 12.0812
Mg Zn Cu
2 4 4
Cartesian
0.6988 1.0795 3.0164
2.0964 3.2385 9.0647
0.6988 1.0795 7.7667
0.6988 3.2385 11.6691
2.0964 1.0795 0.4121
2.0964 3.2385 4.3145
0.6988 1.0795 10.2619
0.6988 3.2385 6.4755
2.0964 1.0795 5.6057
2.0964 3.2385 1.8193
```

=====

2.
For MgZn2Cu2, a DFT-relaxed cell (PBE, Alexandria) gives the calculated X-ray diffraction stick pattern in this record (Cu Kα X-rays).
Kinematic intensities with the Lorentz-polarization factor, no thermal factor.

Largest 10 diffraction maxima, sorted by position, 2θ from 5° to 70°:
two_theta	Rel. int.
14.72	32
25.70	51
33.34	17
38.21	100
45.24	56
46.59	70
50.43	47
57.44	10
61.66	6
61.81	5

Structural model:
```
MgZn2Cu2
1.0
3.6194 0.0000 0.0000
0.0000 3.6194 0.0000
0.0000 0.0000 12.0335
Mg Zn Cu
2 4 4
Cartesian
0.9048 0.9048 2.8231
2.7145 2.7145 9.2105
0.9048 0.9048 7.7846
0.9048 2.7145 0.0000
2.7145 0.9048 0.0000
2.7145 2.7145 4.2489
0.9048 0.9048 10.2157
0.9048 2.7145 6.0168
2.7145 0.9048 6.0168
2.7145 2.7145 1.8179
```

=====

3.
For Mg6ZnCu2, a DFT-relaxed cell (PBE, Alexandria) gives the calculated X-ray diffraction stick pattern in this record (Cu Kα X-rays).
Kinematic intensities with the Lorentz-polarization factor, no thermal factor.

Largest 10 diffraction maxima, sorted by position, 2θ from 5° to 70°:
two_theta	Rel. int.
18.55	50
20.54	93
25.61	35
35.40	49
36.66	58
39.10	100
39.23	39
39.88	73
41.78	46
42.26	35

Structural model:
```
Mg6ZnCu2
1.0
-4.1392 4.3241 4.7828
4.1392 -4.3241 4.7828
4.1392 4.3241 -4.7828
Mg Zn Cu
12 2 4
Cartesian
4.1392 -2.5979 3.1864
2.5349 0.0000 2.3906
5.7435 0.0000 2.3906
2.5880 2.4715 0.0000
5.6904 2.4715 0.0000
0.0000 1.7262 1.5964
4.1392 2.5979 3.1864
-1.5512 1.8526 4.7828
1.5512 1.8526 4.7828
-1.6043 4.3241 2.3922
1.6043 4.3241 2.3922
0.0000 6.9221 1.5964
4.1392 0.0000 0.0000
0.0000 4.3241 0.0000
1.4101 0.0000 0.0000
6.8683 0.0000 0.0000
0.0000 0.0000 3.5654
0.0000 0.0000 6.0002
```

=====

4.
For MgZn2Cu2, a DFT-relaxed cell (PBE, Alexandria) gives the calculated X-ray diffraction stick pattern in this record (Cu Kα X-rays).
Kinematic intensities with the Lorentz-polarization factor, no thermal factor.

Largest 10 diffraction maxima, sorted by position, 2θ from 5° to 70°:
two_theta	Rel. int.
21.19	13
37.24	11
37.70	26
41.77	37
42.89	100
43.72	46
56.84	7
58.18	7
67.45	14
68.35	8

Structural model:
```
MgZn2Cu2
1.0
4.5066 -2.4144 0.0000
4.5066 2.4144 0.0000
-2.5789 0.0000 6.5876
Mg Zn Cu
2 4 4
Cartesian
2.5724 1.7326 4.9407
3.8619 -1.7326 1.6469
3.3940 0.7004 0.2909
4.3298 0.7004 3.0029
2.1046 -0.7004 3.5847
3.0403 -0.7004 6.2966
0.1088 0.9056 4.2862
1.3983 -0.9056 0.9924
5.0361 0.9056 5.5952
6.3255 -0.9056 2.3014
```

=====

5.
For Mg2Zn3Cu2, a DFT-relaxed cell (PBE, Alexandria) gives the calculated X-ray diffraction stick pattern in this record (Cu Kα X-rays).
Kinematic intensities with the Lorentz-polarization factor, no thermal factor.

Largest 10 diffraction maxima, sorted by position, 2θ from 5° to 70°:
two_theta	Rel. int.
10.55	100
12.76	21
16.42	21
35.68	28
40.10	36
42.80	20
43.15	20
43.29	64
46.16	36
48.08	26

Structural model:
```
Mg2Zn3Cu2
1.0
6.9404 -1.9665 0.0000
6.9404 1.9665 0.0000
-6.7812 0.0000 8.3869
Mg Zn Cu
4 6 4
Cartesian
-1.3084 0.0000 1.7381
-1.1185 0.0000 7.5870
8.2180 0.0000 0.7999
8.4079 0.0000 6.6488
-2.7273 0.0000 5.2916
0.1062 0.0000 5.0079
3.4196 0.0000 0.9821
3.6799 0.0000 7.4048
6.9933 0.0000 3.3790
9.8268 0.0000 3.0953
1.4301 0.0000 2.6839
2.6168 0.0000 5.0326
4.4827 0.0000 3.3543
5.6694 0.0000 5.7030
```

=====

6.
For Mg2ZrCu, a DFT-relaxed cell (PBE, Alexandria) gives the calculated X-ray diffraction stick pattern in this record (Cu Kα X-rays).
Kinematic intensities with the Lorentz-polarization factor, no thermal factor.

Largest 10 diffraction maxima, sorted by position, 2θ from 5° to 70°:
two_theta	Rel. int.
11.41	63
20.68	18
26.36	26
36.69	100
40.36	46
42.08	10
45.33	25
45.73	10
58.40	15
63.53	10

Structural model:
```
Mg2ZrCu
1.0
4.4695 0.0000 0.0000
0.0000 4.4695 0.0000
0.0000 0.0000 15.5081
Mg Zr Cu
8 4 4
Cartesian
0.0000 0.0000 2.2351
0.0000 0.0000 13.2730
0.0000 2.2347 0.0000
0.0000 2.2347 7.7540
2.2347 0.0000 0.0000
2.2347 0.0000 7.7540
2.2347 2.2347 5.5190
2.2347 2.2347 9.9891
0.0000 0.0000 5.4491
0.0000 0.0000 10.0590
2.2347 2.2347 2.3050
2.2347 2.2347 13.2031
0.0000 2.2347 3.8770
0.0000 2.2347 11.6311
2.2347 0.0000 3.8770
2.2347 0.0000 11.6311
```

=====

7.
For Mg6ZrCu, a DFT-relaxed cell (PBE, Alexandria) gives the calculated X-ray diffraction stick pattern in this record (Cu Kα X-rays).
Kinematic intensities with the Lorentz-polarization factor, no thermal factor.

Largest 10 diffraction maxima, sorted by position, 2θ from 5° to 70°:
two_theta	Rel. int.
15.73	19
16.59	56
24.13	13
33.54	57
36.84	100
38.41	75
50.67	21
57.73	14
61.06	13
66.37	15

Structural model:
```
Mg6ZrCu
1.0
4.8791 0.0000 0.0000
0.0000 6.0692 0.0000
0.0000 0.0000 11.2688
Mg Zr Cu
12 2 2
Cartesian
0.0000 0.0000 0.0000
0.0000 1.4791 8.3785
0.0000 1.5555 2.7441
0.0000 3.0346 5.6344
0.0000 4.5137 2.7441
0.0000 4.5901 8.3785
2.4396 0.0000 1.7483
2.4396 1.4998 4.4440
2.4396 1.5349 10.0784
2.4396 3.0346 7.3827
2.4396 4.5344 10.0784
2.4396 4.5695 4.4440
2.4396 0.0000 7.1066
2.4396 3.0346 1.4722
0.0000 0.0000 5.6157
0.0000 3.0346 11.2501
```

=====

8.
For Mg2ZrCu9, a DFT-relaxed cell (PBE, Alexandria) gives the calculated X-ray diffraction stick pattern in this record (Cu Kα X-rays).
Kinematic intensities with the Lorentz-polarization factor, no thermal factor.

Largest 10 diffraction maxima, sorted by position, 2θ from 5° to 70°:
two_theta	Rel. int.
11.01	21
21.03	21
25.49	12
36.27	14
42.30	24
42.89	100
45.15	27
46.33	27
50.13	19
69.81	21

Structural model:
```
Mg2ZrCu9
1.0
2.4768 1.4300 8.0327
-2.4768 1.4300 8.0327
0.0000 -2.8599 8.0327
Mg Zr Cu
2 1 9
Cartesian
0.0000 0.0000 3.4373
0.0000 0.0000 20.6608
0.0000 0.0000 0.0000
-1.2481 -0.7206 10.0561
0.0000 0.0000 8.0312
0.0000 -1.4412 14.0420
-1.2481 0.7206 14.0420
0.0000 0.0000 12.0490
1.2481 -0.7206 10.0561
0.0000 1.4412 10.0561
0.0000 0.0000 16.0669
1.2481 0.7206 14.0419
```

=====

9.
For MnCu6, a DFT-relaxed cell (PBE, Alexandria) gives the calculated X-ray diffraction stick pattern in this record (Cu Kα X-rays).
Kinematic intensities with the Lorentz-polarization factor, no thermal factor.

Largest 10 diffraction maxima, sorted by position, 2θ from 5° to 70°:
two_theta	Rel. int.
19.66	35
27.95	44
34.41	100
39.94	6
44.90	8
49.45	39
53.72	52
57.76	30
65.37	14
68.99	11

Structural model:
```
MnCu6
1.0
6.3845 0.0000 0.0000
0.0000 6.3845 0.0000
0.0000 0.0000 6.3845
Mn Cu
2 12
Cartesian
0.0000 0.0000 0.0000
3.1922 3.1922 3.1922
0.0000 1.5961 3.1922
0.0000 3.1922 1.5961
0.0000 3.1922 4.7884
0.0000 4.7884 3.1922
1.5961 0.0000 3.1922
1.5961 3.1922 0.0000
3.1922 0.0000 1.5961
3.1922 0.0000 4.7884
3.1922 1.5961 0.0000
3.1922 4.7884 0.0000
4.7884 0.0000 3.1922
4.7884 3.1922 0.0000
```

=====

10.
For Mn3Cu, a DFT-relaxed cell (PBE, Alexandria) gives the calculated X-ray diffraction stick pattern in this record (Cu Kα X-rays).
Kinematic intensities with the Lorentz-polarization factor, no thermal factor.

Largest 8 diffraction maxima, sorted by position, 2θ from 5° to 70°:
two_theta	Rel. int.
21.31	1
32.20	2
42.03	1
43.40	35
44.42	100
45.80	1
51.45	62
64.92	1

Structural model:
```
Mn3Cu
1.0
2.4914 0.0000 0.0000
-1.2457 2.1576 0.0000
0.0000 0.0000 25.0214
Mn Cu
9 3
Cartesian
0.0000 0.0000 0.0000
0.0000 0.0000 6.3488
0.0000 0.0000 18.6726
0.0000 1.4384 10.3321
0.0000 1.4384 16.6809
0.0000 1.4384 23.0298
1.2457 0.7192 1.9917
1.2457 0.7192 8.3405
1.2457 0.7192 14.6893
0.0000 0.0000 12.5107
0.0000 1.4384 4.1702
1.2457 0.7192 20.8512
```

=====

11.
For Mn2Cu, a DFT-relaxed cell (PBE, Alexandria) gives the calculated X-ray diffraction stick pattern in this record (Cu Kα X-rays).
Kinematic intensities with the Lorentz-polarization factor, no thermal factor.

Largest 7 diffraction maxima, sorted by position, 2θ from 5° to 70°:
two_theta	Rel. int.
24.68	1
31.93	1
42.91	100
44.86	1
49.85	32
50.19	15
52.49	1

Structural model:
```
Mn2Cu
1.0
-1.8292 1.8292 10.9056
1.8292 -1.8292 10.9056
1.8292 1.8292 -10.9056
Mn Cu
8 4
Cartesian
1.8292 0.9146 -2.7279
1.8292 0.9146 1.0263
0.0000 0.9146 2.7249
1.8292 0.9146 4.4265
0.0000 0.9146 6.4791
1.8292 0.9146 8.1807
0.0000 0.9146 9.8793
0.0000 0.9146 13.6335
1.8292 -0.9146 6.3433
1.8292 -0.9146 10.0151
0.0000 2.7438 0.8905
0.0000 2.7438 4.5623
```

=====

12.
For Mn8Cu, a DFT-relaxed cell (PBE, Alexandria) gives the calculated X-ray diffraction stick pattern in this record (Cu Kα X-rays).
Kinematic intensities with the Lorentz-polarization factor, no thermal factor.

Largest 4 diffraction maxima, sorted by position, 2θ from 5° to 70°:
two_theta	Rel. int.
34.14	1
44.61	100
51.47	16
52.25	30

Structural model:
```
Mn8Cu
1.0
-3.7142 3.7142 1.7753
3.7142 -3.7142 1.7753
3.7142 3.7142 -1.7753
Mn Cu
8 1
Cartesian
2.5110 0.0000 0.0000
4.9175 0.0000 0.0000
2.4423 2.4423 0.0000
1.2720 -1.2720 1.7753
0.0000 2.5110 0.0000
0.0000 4.9175 0.0000
-1.2720 1.2720 1.7753
1.2720 1.2720 1.7753
0.0000 0.0000 0.0000
```

=====

13.
For MnCuMo, a DFT-relaxed cell (PBE, Alexandria) gives the calculated X-ray diffraction stick pattern in this record (Cu Kα X-rays).
Kinematic intensities with the Lorentz-polarization factor, no thermal factor.

Largest 10 diffraction maxima, sorted by position, 2θ from 5° to 70°:
two_theta	Rel. int.
22.18	6
26.01	11
35.73	5
41.35	100
41.63	98
47.67	3
48.02	32
48.42	62
61.28	2
63.17	2

Structural model:
```
MnCuMo
1.0
2.6461 0.0000 0.0000
0.0000 3.7890 0.0000
0.0000 0.0000 8.0149
Mn Cu Mo
2 2 2
Cartesian
0.0000 0.0000 0.0000
1.3231 1.8945 4.0075
0.0000 0.0000 2.7081
1.3231 1.8945 6.7156
0.0000 0.0000 5.3483
1.3231 1.8945 1.3408
```

=====

14.
For Mn10CuN8, a DFT-relaxed cell (PBE, Alexandria) gives the calculated X-ray diffraction stick pattern in this record (Cu Kα X-rays).
Kinematic intensities with the Lorentz-polarization factor, no thermal factor.

Largest 10 diffraction maxima, sorted by position, 2θ from 5° to 70°:
two_theta	Rel. int.
25.99	6
38.14	84
38.25	83
42.75	5
43.54	45
44.81	100
64.08	10
64.26	24
64.39	11
65.23	26

Structural model:
```
Mn10CuN8
1.0
7.3720 -2.0221 0.0000
7.3720 2.0221 0.0000
-1.8685 0.0000 6.2761
Mn Cu N
10 1 8
Cartesian
0.1641 0.0000 1.4478
0.8895 0.0000 4.4845
2.8041 0.0000 1.0924
3.7213 0.0000 3.5662
5.8890 0.0000 0.2368
6.9864 0.0000 6.0393
9.1541 0.0000 2.7099
10.0713 0.0000 5.1836
11.9859 0.0000 1.7915
12.7113 0.0000 4.8282
6.4377 0.0000 3.1380
-0.3719 0.0000 5.9885
1.7966 0.0000 2.7024
4.5780 0.0000 1.7213
5.2498 0.0000 4.8368
7.6256 0.0000 1.4392
8.2974 0.0000 4.5547
11.0788 0.0000 3.5737
13.2473 0.0000 0.2875
```